# TlCu2P2
Theoretical X-ray diffraction stick pattern, Cu Kα X-rays. Input: a structure optimized by DFT (PBE).

Top 8 peaks for 10° ≤ 2θ ≤ 90°, in order of falling intensity:
2θ 33.15, I 100
2θ 40.75, I 47
2θ 33.48, I 45
2θ 16.23, I 38
2θ 16.56, I 36
2θ 32.79, I 32
2θ 36.96, I 29
2θ 29.73, I 24

Structure:
```
10
Lattice="1.634 -5.463 0.000 1.634 5.463 0.000 0.000 0.000 10.706" Properties=species:S:1:pos:R:3 pbc="T T T"
Tl 1.634 5.203 8.030
Tl 1.634 -5.203 2.677
Cu 1.634 2.388 8.030
Cu 1.634 0.000 0.000
Cu 1.634 0.000 5.353
Cu 1.634 -2.388 2.677
P 1.634 2.163 5.833
P 1.634 2.163 10.227
P 1.634 -2.163 0.480
P 1.634 -2.163 4.873
```

***

# Zn5CuP3
Theoretical X-ray diffraction stick pattern, Cu Kα X-rays. Input: a structure optimized by DFT (PBE).

Top 8 peaks for 10° ≤ 2θ ≤ 90°, in order of falling intensity:
2θ 27.46, I 100
2θ 46.27, I 99
2θ 28.78, I 86
2θ 46.01, I 34
2θ 22.66, I 34
2θ 41.56, I 32
2θ 53.36, I 32
2θ 50.75, I 25

Structure:
```
9
Lattice="5.394 0.000 0.000 0.000 5.726 0.000 -0.361 0.000 5.397" Properties=species:S:1:pos:R:3 pbc="T T T"
Zn 0.000 0.000 0.000
Zn 0.884 3.863 4.235
Zn 1.562 1.094 1.678
Zn 3.472 1.094 3.719
Zn 4.149 3.863 1.163
Cu 2.517 3.083 2.699
P 0.000 2.335 0.000
P -0.180 5.370 2.699
P 2.697 5.378 0.000
```

***

# Zr3CuP
Theoretical X-ray diffraction stick pattern, Cu Kα X-rays. Input: a structure optimized by DFT (PBE).

Top 8 peaks for 10° ≤ 2θ ≤ 90°, in order of falling intensity:
2θ 32.17, I 100
2θ 35.58, I 91
2θ 34.30, I 70
2θ 38.16, I 62
2θ 31.73, I 55
2θ 49.79, I 38
2θ 60.53, I 31
2θ 52.58, I 29

Structure:
```
10
Lattice="1.831 -5.602 0.000 1.831 5.602 0.000 0.000 0.000 9.619" Properties=species:S:1:pos:R:3 pbc="T T T"
Zr 1.831 4.810 7.214
Zr 1.831 1.637 5.482
Zr 1.831 1.637 8.947
Zr 1.831 -1.637 0.672
Zr 1.831 -1.637 4.137
Zr 1.831 -4.810 2.405
Cu 1.831 2.820 2.405
Cu 1.831 -2.820 7.214
P 0.000 0.000 0.000
P 0.000 0.000 4.810
```

***

# PaCu
Theoretical X-ray diffraction stick pattern, Cu Kα X-rays. Input: a structure optimized by DFT (PBE).

Top 8 peaks for 10° ≤ 2θ ≤ 90°, in order of falling intensity:
2θ 37.49, I 100
2θ 67.65, I 36
2θ 26.27, I 34
2θ 54.07, I 18
2θ 61.08, I 15
2θ 80.00, I 11
2θ 46.36, I 11
2θ 85.96, I 8

Structure:
```
2
Lattice="3.392 0.000 0.000 0.000 3.392 0.000 0.000 0.000 3.392" Properties=species:S:1:pos:R:3 pbc="T T T"
Pa 0.000 0.000 0.000
Cu 1.696 1.696 1.696
```

***

# Cu15Pb
Theoretical X-ray diffraction stick pattern, Cu Kα X-rays. Input: a structure optimized by DFT (PBE).

Top 8 peaks for 10° ≤ 2θ ≤ 90°, in order of falling intensity:
2θ 43.47, I 100
2θ 42.79, I 66
2θ 49.81, I 42
2θ 74.10, I 26
2θ 51.05, I 26
2θ 10.39, I 22
2θ 45.08, I 19
2θ 38.44, I 17

Structure:
```
32
Lattice="4.400 0.000 0.000 0.000 34.047 0.000 -1.420 0.000 4.163" Properties=species:S:1:pos:R:3 pbc="T T T"
Cu -0.355 0.628 1.041
Cu -1.065 1.900 3.122
Cu -0.355 3.172 1.041
Cu -1.065 4.445 3.122
Cu -0.355 5.736 1.041
Cu -1.065 6.997 3.122
Cu -0.355 8.302 1.041
Cu -1.065 9.507 3.122
Cu -0.355 24.539 1.041
Cu -1.065 25.745 3.122
Cu -0.355 27.050 1.041
Cu -1.065 28.311 3.122
Cu -0.355 29.602 1.041
Cu -1.065 30.874 3.122
Cu -0.355 32.146 1.041
Cu -1.065 33.419 3.122
Cu 1.136 0.630 3.122
Cu 1.845 1.911 1.041
Cu 1.136 3.178 3.122
Cu 1.845 4.470 1.041
Cu 1.136 5.740 3.122
Cu 1.845 7.044 1.041
Cu 1.136 8.304 3.122
Cu 1.845 25.743 1.041
Cu 1.136 27.003 3.122
Cu 1.845 28.307 1.041
Cu 1.136 29.576 3.122
Cu 1.845 30.868 1.041
Cu 1.136 32.136 3.122
Cu 1.845 33.416 1.041
Pb 1.845 10.262 1.041
Pb 1.136 23.785 3.122
```